Diffraction record for Er2Al3Au. The powder XRD pattern is computed, not measured: it uses a PBE-relaxed structure and Cu Kα (weighted mean of Kα1 and Kα2).

Atomic structure:
```
Er2Al3Au
1.0
0.0000 4.5183 7.8679
3.5143 0.0000 7.8679
3.5143 4.5183 0.0000
Er Al Au
4 6 2
Direct
0.2483 0.7517 0.7517 Er
0.2500 0.2500 0.2500 Er
0.7500 0.7500 0.7500 Er
0.7517 0.2483 0.2483 Er
0.1643 0.6695 0.3305 Al
0.3305 0.8357 0.1643 Al
0.3342 0.3342 0.6658 Al
0.6658 0.6658 0.3342 Al
0.6695 0.1643 0.8357 Al
0.8357 0.3305 0.6695 Al
0.1689 0.1689 0.8311 Au
0.8311 0.8311 0.1689 Au
```

The 10 most intense peaks (2θ = 15–90°), by angle:
- 2θ = 16.95°, d 5.232, I = 11
- 2θ = 22.66°, d 3.924, I = 23
- 2θ = 23.34°, d 3.811, I = 22
- 2θ = 34.25°, d 2.618, I = 100
- 2θ = 39.74°, d 2.268, I = 38
- 2θ = 39.91°, d 2.259, I = 18
- 2θ = 53.38°, d 1.716, I = 10
- 2θ = 53.55°, d 1.711, I = 19
- 2θ = 67.42°, d 1.389, I = 15
- 2θ = 68.68°, d 1.367, I = 10